No. 1
Theoretical PXRD pattern of Ti13Pb2 for Cu Kα (weighted mean of Kα1 and Kα2), from DFT lattice parameters and positions (GGA-PBE).
No peak broadening, texture or thermal motion is included.

Largest 6 diffraction maxima, sorted by position, 10° ≤ 2θ ≤ 90°:
5.975 Å, 2θ = 14.83°, rel. 100
4.141 Å, 2θ = 21.46°, rel. 54
3.225 Å, 2θ = 27.66°, rel. 59
2.538 Å, 2θ = 35.37°, rel. 63
2.332 Å, 2θ = 38.62°, rel. 83
2.219 Å, 2θ = 40.65°, rel. 63

Crystal structure
a = 8.490 Å, b = 8.490 Å, c = 8.490 Å
α = 49.90°, β = 49.90°, γ = 49.90°
Sites, in units of the cell vectors:
Ti 0.000 0.000 0.000
Ti 0.121 0.121 0.499
Ti 0.121 0.499 0.121
Ti 0.241 0.241 0.616
Ti 0.241 0.616 0.241
Ti 0.384 0.759 0.759
Ti 0.499 0.121 0.121
Ti 0.501 0.879 0.879
Ti 0.616 0.241 0.241
Ti 0.759 0.384 0.759
Ti 0.759 0.759 0.384
Ti 0.879 0.501 0.879
Ti 0.879 0.879 0.501
Pb 0.138 0.138 0.138
Pb 0.862 0.862 0.862

No. 2
Theoretical PXRD pattern of Ti4Pb for Cu Kα (weighted mean of Kα1 and Kα2), from DFT lattice parameters and positions (GGA-PBE).
No peak broadening, texture or thermal motion is included.

Largest 6 diffraction maxima, sorted by position, 10° ≤ 2θ ≤ 90°:
4.905 Å, 2θ = 18.08°, rel. 34
3.349 Å, 2θ = 26.62°, rel. 40
2.409 Å, 2θ = 37.33°, rel. 100
2.194 Å, 2θ = 41.15°, rel. 42
1.441 Å, 2θ = 64.67°, rel. 22
1.304 Å, 2θ = 72.47°, rel. 26

Crystal structure
a = 5.265 Å, b = 5.265 Å, c = 5.265 Å
α = 97.58°, β = 97.58°, γ = 137.41°
Sites, in units of the cell vectors:
Ti 0.110 0.318 0.427
Ti 0.318 0.890 0.208
Ti 0.682 0.110 0.792
Ti 0.890 0.682 0.573
Pb 0.500 0.500 0.000

No. 3
Theoretical PXRD pattern of TiPb for Cu Kα (weighted mean of Kα1 and Kα2), from DFT lattice parameters and positions (GGA-PBE).
No peak broadening, texture or thermal motion is included.

Largest 6 diffraction maxima, sorted by position, 10° ≤ 2θ ≤ 90°:
4.112 Å, 2θ = 21.61°, rel. 32
3.197 Å, 2θ = 27.91°, rel. 36
2.558 Å, 2θ = 35.07°, rel. 26
2.524 Å, 2θ = 35.57°, rel. 100
2.056 Å, 2θ = 44.04°, rel. 14
1.470 Å, 2θ = 63.24°, rel. 19

Crystal structure
a = 3.277 Å, b = 3.277 Å, c = 4.112 Å
α = 90.00°, β = 90.00°, γ = 102.66°
Sites, in units of the cell vectors:
Ti 0.000 0.000 0.000
Pb 0.500 0.500 0.500

No. 4
Theoretical PXRD pattern of Ti12Tl3Pb for Cu Kα (weighted mean of Kα1 and Kα2), from DFT lattice parameters and positions (GGA-PBE).
No peak broadening, texture or thermal motion is included.

Largest 6 diffraction maxima, sorted by position, 10° ≤ 2θ ≤ 90°:
3.723 Å, 2θ = 23.90°, rel. 81
2.633 Å, 2θ = 34.05°, rel. 45
2.355 Å, 2θ = 38.22°, rel. 19
2.150 Å, 2θ = 42.03°, rel. 100
1.665 Å, 2θ = 55.16°, rel. 18
1.407 Å, 2θ = 66.44°, rel. 51

Crystal structure
a = 5.264 Å, b = 5.265 Å, c = 10.534 Å
α = 90.00°, β = 90.00°, γ = 90.00°
Sites, in units of the cell vectors:
Ti 0.000 0.000 0.124
Ti 0.000 0.000 0.373
Ti 0.000 0.000 0.627
Ti 0.000 0.000 0.876
Ti 0.248 0.500 0.500
Ti 0.250 0.500 0.000
Ti 0.500 0.251 0.249
Ti 0.500 0.251 0.751
Ti 0.500 0.749 0.249
Ti 0.500 0.749 0.751
Ti 0.750 0.500 0.000
Ti 0.752 0.500 0.500
Tl 0.000 0.500 0.250
Tl 0.000 0.500 0.750
Tl 0.500 0.000 0.000
Pb 0.500 0.000 0.500

No. 5
Theoretical PXRD pattern of Ti12TlPb3 for Cu Kα (weighted mean of Kα1 and Kα2), from DFT lattice parameters and positions (GGA-PBE).
No peak broadening, texture or thermal motion is included.

Largest 6 diffraction maxima, sorted by position, 10° ≤ 2θ ≤ 90°:
3.736 Å, 2θ = 23.82°, rel. 81
2.642 Å, 2θ = 33.94°, rel. 45
2.363 Å, 2θ = 38.09°, rel. 18
2.157 Å, 2θ = 41.89°, rel. 100
1.671 Å, 2θ = 54.96°, rel. 19
1.412 Å, 2θ = 66.18°, rel. 52

Crystal structure
a = 5.281 Å, b = 5.282 Å, c = 10.572 Å
α = 90.00°, β = 90.00°, γ = 90.00°
Sites, in units of the cell vectors:
Ti 0.000 0.000 0.122
Ti 0.000 0.000 0.373
Ti 0.000 0.000 0.627
Ti 0.000 0.000 0.878
Ti 0.250 0.500 0.500
Ti 0.252 0.500 0.000
Ti 0.500 0.249 0.249
Ti 0.500 0.249 0.751
Ti 0.500 0.751 0.249
Ti 0.500 0.751 0.751
Ti 0.748 0.500 0.000
Ti 0.750 0.500 0.500
Tl 0.500 0.000 0.000
Pb 0.000 0.500 0.250
Pb 0.000 0.500 0.750
Pb 0.500 0.000 0.500

No. 6
Theoretical PXRD pattern of Ti7VPb2 for Cu Kα (weighted mean of Kα1 and Kα2), from DFT lattice parameters and positions (GGA-PBE).
No peak broadening, texture or thermal motion is included.

Largest 6 diffraction maxima, sorted by position, 10° ≤ 2θ ≤ 90°:
3.303 Å, 2θ = 27.00°, rel. 100
2.697 Å, 2θ = 33.22°, rel. 83
2.335 Å, 2θ = 38.55°, rel. 73
1.907 Å, 2θ = 47.70°, rel. 44
1.651 Å, 2θ = 55.66°, rel. 48
1.408 Å, 2θ = 66.38°, rel. 33

Crystal structure
a = 6.605 Å, b = 6.605 Å, c = 6.605 Å
α = 60.00°, β = 60.00°, γ = 60.00°
Sites, in units of the cell vectors:
Ti 0.000 0.000 0.000
Ti 0.254 0.254 0.746
Ti 0.254 0.746 0.254
Ti 0.254 0.746 0.746
Ti 0.746 0.254 0.254
Ti 0.746 0.254 0.746
Ti 0.746 0.746 0.254
V 0.500 0.500 0.500
Pb 0.250 0.250 0.250
Pb 0.750 0.750 0.750

No. 7
Theoretical PXRD pattern of TiPbW3 for Cu Kα (weighted mean of Kα1 and Kα2), from DFT lattice parameters and positions (GGA-PBE).
No peak broadening, texture or thermal motion is included.

Largest 6 diffraction maxima, sorted by position, 10° ≤ 2θ ≤ 90°:
2.706 Å, 2θ = 33.11°, rel. 100
2.343 Å, 2θ = 38.41°, rel. 65
1.657 Å, 2θ = 55.45°, rel. 45
1.413 Å, 2θ = 66.13°, rel. 43
1.353 Å, 2θ = 69.47°, rel. 15
1.172 Å, 2θ = 82.29°, rel. 7

Crystal structure
a = 4.687 Å, b = 4.687 Å, c = 4.687 Å
α = 90.00°, β = 90.00°, γ = 90.00°
Sites, in units of the cell vectors:
Ti 0.000 0.000 0.000
Pb 0.500 0.500 0.500
W 0.000 0.000 0.500
W 0.000 0.500 0.000
W 0.500 0.000 0.000

No. 8
Theoretical PXRD pattern of YTiPb3 for Cu Kα (weighted mean of Kα1 and Kα2), from DFT lattice parameters and positions (GGA-PBE).
No peak broadening, texture or thermal motion is included.

Largest 6 diffraction maxima, sorted by position, 10° ≤ 2θ ≤ 90°:
3.101 Å, 2θ = 28.79°, rel. 100
2.686 Å, 2θ = 33.36°, rel. 68
1.899 Å, 2θ = 47.90°, rel. 50
1.620 Å, 2θ = 56.85°, rel. 47
1.232 Å, 2θ = 77.45°, rel. 20
1.201 Å, 2θ = 79.86°, rel. 23

Crystal structure
a = 5.372 Å, b = 5.372 Å, c = 5.372 Å
α = 90.00°, β = 90.00°, γ = 90.00°
Sites, in units of the cell vectors:
Y 0.000 0.000 0.000
Ti 0.500 0.500 0.500
Pb 0.000 0.500 0.500
Pb 0.500 0.000 0.500
Pb 0.500 0.500 0.000